Entry 1:
For Ba3CaLa2Cu6O14, a structure optimized by DFT (PBE) gives the computed X-ray diffraction stick pattern in this record (copper Kα).
Kinematic intensities with the Lorentz-polarization factor, no thermal factor.

Atomic structure:
```
26
Lattice="3.848 -3.930 0.000 3.848 3.930 0.000 0.000 0.000 11.717" Properties=species:S:1:pos:R:3 pbc="T T T"
Ba 0.000 0.000 0.000
Ba 0.000 0.000 4.263
Ba 3.848 0.000 0.012
Ca 3.848 0.000 8.027
La 0.000 0.000 7.973
La 3.848 0.000 4.436
Cu 1.924 1.965 2.186
Cu 1.924 1.965 6.233
Cu 1.924 1.965 9.758
Cu 1.924 -1.965 2.186
Cu 1.924 -1.965 6.233
Cu 1.924 -1.965 9.758
O 1.924 1.965 0.330
O 1.924 1.965 4.064
O 1.915 0.000 9.528
O 3.848 1.974 9.484
O 3.848 1.902 6.355
O 1.992 0.000 6.363
O 2.167 0.000 2.372
O 1.924 -1.965 0.330
O 1.924 -1.965 4.064
O 5.528 0.000 2.372
O 5.703 0.000 6.363
O 3.848 -1.902 6.355
O 3.848 -1.974 9.484
O 5.780 0.000 9.528
```

The 10 most intense peaks (2θ = 10–90°), low angle first:
2θ = 32.31°, d = 2.770 Å, intensity 91; 2θ = 32.57°, d = 2.749 Å, intensity 98; 2θ = 32.67°, d = 2.741 Å, intensity 100; 2θ = 40.10°, d = 2.248 Å, intensity 24; 2θ = 46.20°, d = 1.965 Å, intensity 31; 2θ = 46.50°, d = 1.953 Å, intensity 19; 2θ = 47.25°, d = 1.924 Å, intensity 28; 2θ = 57.72°, d = 1.597 Å, intensity 38; 2θ = 57.92°, d = 1.592 Å, intensity 30; 2θ = 58.40°, d = 1.580 Å, intensity 34


Entry 2:
For Dy5Sn3, a structure optimized by DFT (PBE) gives the computed X-ray diffraction stick pattern in this record (copper Kα).
Kinematic intensities with the Lorentz-polarization factor, no thermal factor.

Atomic structure:
```
16
Lattice="8.968 0.000 0.000 -4.484 7.767 0.000 0.000 0.000 6.569" Properties=species:S:1:pos:R:3 pbc="T T T"
Dy -1.067 1.848 1.642
Dy -3.417 5.919 4.926
Dy 2.133 0.000 1.642
Dy 1.067 1.848 4.926
Dy 0.000 5.178 0.000
Dy 0.000 5.178 3.284
Dy 4.484 2.589 0.000
Dy 4.484 2.589 3.284
Dy 6.835 0.000 4.926
Dy 3.417 5.919 1.642
Sn -1.773 3.070 4.926
Sn -2.712 4.697 1.642
Sn 3.545 0.000 4.926
Sn 1.773 3.070 1.642
Sn 5.423 0.000 1.642
Sn 2.712 4.697 4.926
```

The 10 most intense peaks (2θ = 10–90°), low angle first:
2θ = 27.15°, d = 3.284 Å, intensity 16; 2θ = 29.53°, d = 3.025 Å, intensity 21; 2θ = 30.45°, d = 2.936 Å, intensity 34; 2θ = 33.43°, d = 2.680 Å, intensity 100; 2θ = 33.83°, d = 2.650 Å, intensity 75; 2θ = 34.65°, d = 2.589 Å, intensity 36; 2θ = 49.21°, d = 1.852 Å, intensity 19; 2θ = 52.11°, d = 1.755 Å, intensity 29; 2θ = 54.93°, d = 1.671 Å, intensity 14; 2θ = 66.60°, d = 1.404 Å, intensity 18


Entry 3:
For Mg14CoB, a structure optimized by DFT (PBE) gives the computed X-ray diffraction stick pattern in this record (copper Kα).
Kinematic intensities with the Lorentz-polarization factor, no thermal factor.

Atomic structure:
```
16
Lattice="6.216 0.000 0.000 -3.108 5.383 0.000 0.000 0.000 9.640" Properties=species:S:1:pos:R:3 pbc="T T T"
Mg 0.000 0.000 2.389
Mg 0.000 0.000 7.252
Mg -1.454 2.749 2.396
Mg -1.454 2.749 7.245
Mg 1.556 0.899 4.820
Mg 1.561 0.901 0.000
Mg 1.454 2.749 2.396
Mg 1.454 2.749 7.245
Mg 0.000 5.268 2.396
Mg 0.000 5.268 7.245
Mg 4.656 0.901 0.000
Mg 4.660 0.899 4.820
Mg 3.108 3.581 0.000
Mg 3.108 3.586 4.820
Co 0.000 3.589 0.000
B 0.000 3.589 4.820
```

The 10 most intense peaks (2θ = 10–90°), low angle first:
2θ = 18.88°, d = 4.700 Å, intensity 13; 2θ = 30.21°, d = 2.958 Å, intensity 4; 2θ = 33.29°, d = 2.692 Å, intensity 25; 2θ = 37.31°, d = 2.410 Å, intensity 24; 2θ = 38.30°, d = 2.350 Å, intensity 100; 2θ = 50.85°, d = 1.795 Å, intensity 15; 2θ = 59.48°, d = 1.554 Å, intensity 17; 2θ = 67.94°, d = 1.380 Å, intensity 17; 2θ = 72.35°, d = 1.306 Å, intensity 18; 2θ = 72.99°, d = 1.296 Å, intensity 13


Entry 4:
For CeRh, a structure optimized by DFT (PBE) gives the computed X-ray diffraction stick pattern in this record (copper Kα).
Kinematic intensities with the Lorentz-polarization factor, no thermal factor.

Atomic structure:
```
8
Lattice="3.855 0.000 0.000 0.000 11.323 0.000 0.000 0.000 4.035" Properties=species:S:1:pos:R:3 pbc="T T T"
Ce 0.000 1.551 1.009
Ce 0.000 9.772 3.026
Ce 1.927 4.110 3.026
Ce 1.927 7.213 1.009
Rh 0.000 4.561 1.009
Rh 0.000 6.762 3.026
Rh 1.927 1.100 3.026
Rh 1.927 10.223 1.009
```

The 10 most intense peaks (2θ = 10–90°), low angle first:
2θ = 31.61°, d = 2.831 Å, intensity 47; 2θ = 33.10°, d = 2.707 Å, intensity 100; 2θ = 33.22°, d = 2.697 Å, intensity 15; 2θ = 40.22°, d = 2.242 Å, intensity 65; 2θ = 44.93°, d = 2.018 Å, intensity 23; 2θ = 47.15°, d = 1.927 Å, intensity 20; 2θ = 52.03°, d = 1.758 Å, intensity 14; 2θ = 55.97°, d = 1.643 Å, intensity 18; 2θ = 57.88°, d = 1.593 Å, intensity 16; 2θ = 76.13°, d = 1.250 Å, intensity 15


Entry 5:
For Sr3Sn3Au8, a structure optimized by DFT (PBE) gives the computed X-ray diffraction stick pattern in this record (copper Kα).
Kinematic intensities with the Lorentz-polarization factor, no thermal factor.

Atomic structure:
```
14
Lattice="8.657 -2.388 0.000 8.657 2.388 0.000 -5.512 0.000 8.206" Properties=species:S:1:pos:R:3 pbc="T T T"
Sr 0.000 0.000 0.000
Sr 3.716 0.000 2.250
Sr 8.086 0.000 5.956
Sn -2.756 0.000 4.103
Sn 1.938 0.000 5.598
Sn 9.864 0.000 2.607
Au -2.498 0.000 6.996
Au 0.043 0.000 3.466
Au 0.551 0.000 7.963
Au 4.753 0.000 5.721
Au 7.049 0.000 2.485
Au 11.252 0.000 0.243
Au 11.759 0.000 4.739
Au 14.301 0.000 1.210
```

The 10 most intense peaks (2θ = 10–90°), low angle first:
2θ = 17.95°, d = 4.942 Å, intensity 72; 2θ = 31.89°, d = 2.806 Å, intensity 69; 2θ = 32.24°, d = 2.777 Å, intensity 100; 2θ = 33.03°, d = 2.712 Å, intensity 33; 2θ = 35.22°, d = 2.548 Å, intensity 51; 2θ = 36.48°, d = 2.463 Å, intensity 48; 2θ = 37.55°, d = 2.395 Å, intensity 45; 2θ = 37.67°, d = 2.388 Å, intensity 99; 2θ = 42.01°, d = 2.151 Å, intensity 55; 2θ = 54.24°, d = 1.691 Å, intensity 32


Entry 6:
For InPd3, a structure optimized by DFT (PBE) gives the computed X-ray diffraction stick pattern in this record (copper Kα).
Kinematic intensities with the Lorentz-polarization factor, no thermal factor.

Atomic structure:
```
8
Lattice="5.239 0.000 0.000 0.000 3.010 0.000 -1.730 0.000 8.671" Properties=species:S:1:pos:R:3 pbc="T T T"
In 0.000 0.000 0.000
In 2.619 1.505 0.000
Pd -0.865 1.505 4.336
Pd 0.881 1.505 2.128
Pd 0.009 0.000 6.543
Pd 1.755 0.000 4.336
Pd 3.500 0.000 2.128
Pd 2.629 1.505 6.543
```

The 10 most intense peaks (2θ = 10–90°), low angle first:
2θ = 37.08°, d = 2.425 Å, intensity 100; 2θ = 41.66°, d = 2.168 Å, intensity 24; 2θ = 44.37°, d = 2.042 Å, intensity 20; 2θ = 44.53°, d = 2.035 Å, intensity 39; 2θ = 61.38°, d = 1.511 Å, intensity 15; 2θ = 67.90°, d = 1.380 Å, intensity 16; 2θ = 74.11°, d = 1.279 Å, intensity 8; 2θ = 76.86°, d = 1.240 Å, intensity 8; 2θ = 77.00°, d = 1.238 Å, intensity 8; 2θ = 77.15°, d = 1.236 Å, intensity 7


Entry 7:
For CeSe2, a structure optimized by DFT (PBE) gives the computed X-ray diffraction stick pattern in this record (copper Kα).
Kinematic intensities with the Lorentz-polarization factor, no thermal factor.

Atomic structure:
```
54
Lattice="-6.314 11.960 16.193 6.314 -11.960 16.193 6.314 11.960 -16.193" Properties=species:S:1:pos:R:3 pbc="T T T"
Ce 6.314 -7.113 13.512
Ce 3.696 7.121 -5.698
Ce 2.619 -4.839 10.495
Ce 0.000 0.000 4.925
Ce 3.697 0.000 8.758
Ce 8.932 0.000 8.758
Ce 0.000 4.847 2.681
Ce 3.696 7.121 5.698
Ce 2.619 -4.839 21.891
Ce 3.696 16.799 -5.698
Ce 2.619 4.839 10.495
Ce 6.314 7.113 13.512
Ce -2.618 11.960 7.435
Ce 2.618 11.960 7.435
Ce 0.000 0.000 27.461
Ce 3.696 16.799 5.698
Ce 2.619 4.839 21.891
Ce 0.000 19.073 2.681
Se 3.157 5.980 -8.097
Se 3.157 -5.980 8.097
Se 6.314 9.750 -12.846
Se 6.314 6.803 -5.075
Se 2.197 6.069 -3.693
Se 4.117 -5.891 12.500
Se 0.000 2.210 3.347
Se 4.107 11.960 -9.697
Se 2.207 0.000 6.496
Se 0.000 5.286 0.000
Se 3.263 9.782 -5.952
Se 3.051 -2.178 10.241
Se 6.314 0.000 8.031
Se 2.197 6.069 3.693
Se 4.117 -5.891 19.886
Se 3.263 14.138 -5.952
Se 3.051 2.178 10.241
Se 6.314 6.803 5.075
Se -3.157 5.980 8.097
Se 3.157 5.980 8.097
Se 0.000 5.157 11.118
Se 3.263 9.782 5.952
Se 3.051 -2.178 22.146
Se 2.197 17.852 -3.693
Se 4.117 5.891 12.500
Se 0.000 11.960 8.163
Se 3.263 14.138 5.952
Se 3.051 2.178 22.146
Se 0.000 18.635 0.000
Se 4.107 11.960 9.697
Se 2.207 0.000 25.890
Se 6.314 9.750 12.846
Se 2.197 17.852 3.693
Se 4.117 5.891 19.886
Se 0.000 5.157 21.269
Se 0.000 2.210 29.039
```

The 10 most intense peaks (2θ = 10–90°), low angle first:
2θ = 13.10°, d = 6.760 Å, intensity 73; 2θ = 13.21°, d = 6.705 Å, intensity 41; 2θ = 13.51°, d = 6.555 Å, intensity 33; 2θ = 13.81°, d = 6.414 Å, intensity 58; 2θ = 14.80°, d = 5.986 Å, intensity 100; 2θ = 15.06°, d = 5.883 Å, intensity 83; 2θ = 16.68°, d = 5.316 Å, intensity 44; 2θ = 26.34°, d = 3.384 Å, intensity 35; 2θ = 37.35°, d = 2.407 Å, intensity 28; 2θ = 43.82°, d = 2.066 Å, intensity 28


Repeat the fourth record exactly.
For CeRh, a structure optimized by DFT (PBE) gives the computed X-ray diffraction stick pattern in this record (copper Kα).
Kinematic intensities with the Lorentz-polarization factor, no thermal factor.

Atomic structure:
```
8
Lattice="3.855 0.000 0.000 0.000 11.323 0.000 0.000 0.000 4.035" Properties=species:S:1:pos:R:3 pbc="T T T"
Ce 0.000 1.551 1.009
Ce 0.000 9.772 3.026
Ce 1.927 4.110 3.026
Ce 1.927 7.213 1.009
Rh 0.000 4.561 1.009
Rh 0.000 6.762 3.026
Rh 1.927 1.100 3.026
Rh 1.927 10.223 1.009
```

The 10 most intense peaks (2θ = 10–90°), low angle first:
2θ = 31.61°, d = 2.831 Å, intensity 47; 2θ = 33.10°, d = 2.707 Å, intensity 100; 2θ = 33.22°, d = 2.697 Å, intensity 15; 2θ = 40.22°, d = 2.242 Å, intensity 65; 2θ = 44.93°, d = 2.018 Å, intensity 23; 2θ = 47.15°, d = 1.927 Å, intensity 20; 2θ = 52.03°, d = 1.758 Å, intensity 14; 2θ = 55.97°, d = 1.643 Å, intensity 18; 2θ = 57.88°, d = 1.593 Å, intensity 16; 2θ = 76.13°, d = 1.250 Å, intensity 15


Copy entry 7 word for word.
For CeSe2, a structure optimized by DFT (PBE) gives the computed X-ray diffraction stick pattern in this record (copper Kα).
Kinematic intensities with the Lorentz-polarization factor, no thermal factor.

Atomic structure:
```
54
Lattice="-6.314 11.960 16.193 6.314 -11.960 16.193 6.314 11.960 -16.193" Properties=species:S:1:pos:R:3 pbc="T T T"
Ce 6.314 -7.113 13.512
Ce 3.696 7.121 -5.698
Ce 2.619 -4.839 10.495
Ce 0.000 0.000 4.925
Ce 3.697 0.000 8.758
Ce 8.932 0.000 8.758
Ce 0.000 4.847 2.681
Ce 3.696 7.121 5.698
Ce 2.619 -4.839 21.891
Ce 3.696 16.799 -5.698
Ce 2.619 4.839 10.495
Ce 6.314 7.113 13.512
Ce -2.618 11.960 7.435
Ce 2.618 11.960 7.435
Ce 0.000 0.000 27.461
Ce 3.696 16.799 5.698
Ce 2.619 4.839 21.891
Ce 0.000 19.073 2.681
Se 3.157 5.980 -8.097
Se 3.157 -5.980 8.097
Se 6.314 9.750 -12.846
Se 6.314 6.803 -5.075
Se 2.197 6.069 -3.693
Se 4.117 -5.891 12.500
Se 0.000 2.210 3.347
Se 4.107 11.960 -9.697
Se 2.207 0.000 6.496
Se 0.000 5.286 0.000
Se 3.263 9.782 -5.952
Se 3.051 -2.178 10.241
Se 6.314 0.000 8.031
Se 2.197 6.069 3.693
Se 4.117 -5.891 19.886
Se 3.263 14.138 -5.952
Se 3.051 2.178 10.241
Se 6.314 6.803 5.075
Se -3.157 5.980 8.097
Se 3.157 5.980 8.097
Se 0.000 5.157 11.118
Se 3.263 9.782 5.952
Se 3.051 -2.178 22.146
Se 2.197 17.852 -3.693
Se 4.117 5.891 12.500
Se 0.000 11.960 8.163
Se 3.263 14.138 5.952
Se 3.051 2.178 22.146
Se 0.000 18.635 0.000
Se 4.107 11.960 9.697
Se 2.207 0.000 25.890
Se 6.314 9.750 12.846
Se 2.197 17.852 3.693
Se 4.117 5.891 19.886
Se 0.000 5.157 21.269
Se 0.000 2.210 29.039
```

The 10 most intense peaks (2θ = 10–90°), low angle first:
2θ = 13.10°, d = 6.760 Å, intensity 73; 2θ = 13.21°, d = 6.705 Å, intensity 41; 2θ = 13.51°, d = 6.555 Å, intensity 33; 2θ = 13.81°, d = 6.414 Å, intensity 58; 2θ = 14.80°, d = 5.986 Å, intensity 100; 2θ = 15.06°, d = 5.883 Å, intensity 83; 2θ = 16.68°, d = 5.316 Å, intensity 44; 2θ = 26.34°, d = 3.384 Å, intensity 35; 2θ = 37.35°, d = 2.407 Å, intensity 28; 2θ = 43.82°, d = 2.066 Å, intensity 28


Copy entry 4 word for word.
For CeRh, a structure optimized by DFT (PBE) gives the computed X-ray diffraction stick pattern in this record (copper Kα).
Kinematic intensities with the Lorentz-polarization factor, no thermal factor.

Atomic structure:
```
8
Lattice="3.855 0.000 0.000 0.000 11.323 0.000 0.000 0.000 4.035" Properties=species:S:1:pos:R:3 pbc="T T T"
Ce 0.000 1.551 1.009
Ce 0.000 9.772 3.026
Ce 1.927 4.110 3.026
Ce 1.927 7.213 1.009
Rh 0.000 4.561 1.009
Rh 0.000 6.762 3.026
Rh 1.927 1.100 3.026
Rh 1.927 10.223 1.009
```

The 10 most intense peaks (2θ = 10–90°), low angle first:
2θ = 31.61°, d = 2.831 Å, intensity 47; 2θ = 33.10°, d = 2.707 Å, intensity 100; 2θ = 33.22°, d = 2.697 Å, intensity 15; 2θ = 40.22°, d = 2.242 Å, intensity 65; 2θ = 44.93°, d = 2.018 Å, intensity 23; 2θ = 47.15°, d = 1.927 Å, intensity 20; 2θ = 52.03°, d = 1.758 Å, intensity 14; 2θ = 55.97°, d = 1.643 Å, intensity 18; 2θ = 57.88°, d = 1.593 Å, intensity 16; 2θ = 76.13°, d = 1.250 Å, intensity 15